No. 1
# KHoTe4
Calculated powder diffractogram, Cu Kα. Input: a crystal structure in Alexandria, relaxed with GGA-PBE.
Neutral-atom scattering factors, no anomalous dispersion.

```
KHoTe4
1.0
6.835 0.000 0.000
0.000 6.835 0.000
0.000 0.000 8.900
K Ho Te
2 2 8
Direct
0.250 0.250 0.000
0.750 0.750 0.000
0.250 0.250 0.500
0.750 0.750 0.500
0.103 0.603 0.294
0.103 0.897 0.706
0.397 0.603 0.706
0.397 0.897 0.294
0.603 0.103 0.706
0.603 0.397 0.294
0.897 0.103 0.294
0.897 0.397 0.706
```

Largest 6 diffraction maxima, in order of falling intensity, 2θ = 10–90°:
30.93°, intensity 100
27.24°, intensity 66
41.79°, intensity 38
33.05°, intensity 32
57.79°, intensity 21
50.75°, intensity 21

---

No. 2
# RbAl6Ge4
Calculated powder diffractogram, Cu Kα. Input: a crystal structure in Alexandria, relaxed with GGA-PBE.
Neutral-atom scattering factors, no anomalous dispersion.

```
RbAl6Ge4
1.0
-2.139 2.139 13.830
2.139 -2.139 13.830
2.139 2.139 -13.830
Rb Al Ge
1 6 4
Direct
0.000 0.000 0.000
0.133 0.633 0.500
0.250 0.750 0.500
0.367 0.867 0.500
0.633 0.133 0.500
0.750 0.250 0.500
0.867 0.367 0.500
0.193 0.193 0.000
0.421 0.421 0.000
0.579 0.579 0.000
0.807 0.807 0.000
```

Largest 6 diffraction maxima, in order of falling intensity, 2θ = 10–90°:
26.34°, intensity 100
42.26°, intensity 33
50.48°, intensity 33
39.59°, intensity 26
44.38°, intensity 26
29.53°, intensity 15

---

No. 3
# CuBi
Calculated powder diffractogram, Cu Kα. Input: a crystal structure in Alexandria, relaxed with GGA-PBE.
Neutral-atom scattering factors, no anomalous dispersion.

```
CuBi
1.0
4.422 0.000 0.000
-2.211 3.830 0.000
0.000 0.000 5.191
Cu Bi
2 2
Direct
0.000 0.000 0.000
0.000 0.000 0.500
0.333 0.667 0.250
0.667 0.333 0.750
```

Largest 6 diffraction maxima, in order of falling intensity, 2θ = 10–90°:
28.97°, intensity 100
40.81°, intensity 48
42.05°, intensity 35
50.82°, intensity 22
67.13°, intensity 20
58.54°, intensity 15

---

No. 4
# SrZn2SbAu5
Calculated powder diffractogram, Cu Kα. Input: a crystal structure in Alexandria, relaxed with GGA-PBE.
Neutral-atom scattering factors, no anomalous dispersion.

```
SrZn2SbAu5
1.0
5.024 0.000 0.000
0.000 5.024 0.000
0.000 0.000 7.684
Sr Zn Sb Au
1 2 1 5
Direct
0.000 0.000 0.000
0.500 0.500 0.338
0.500 0.500 0.662
0.000 0.000 0.500
0.000 0.500 0.272
0.000 0.500 0.728
0.500 0.000 0.272
0.500 0.000 0.728
0.500 0.500 0.000
```

Largest 6 diffraction maxima, in order of falling intensity, 2θ = 10–90°:
34.38°, intensity 100
35.74°, intensity 67
63.35°, intensity 35
51.44°, intensity 24
60.69°, intensity 16
86.66°, intensity 11

---

No. 5
# AcHfCo4
Calculated powder diffractogram, Cu Kα. Input: a crystal structure in Alexandria, relaxed with GGA-PBE.
Neutral-atom scattering factors, no anomalous dispersion.

```
AcHfCo4
1.0
0.000 3.597 3.597
3.597 0.000 3.597
3.597 3.597 0.000
Ac Hf Co
1 1 4
Direct
0.000 0.000 0.000
0.250 0.250 0.250
0.130 0.623 0.623
0.623 0.130 0.623
0.623 0.623 0.130
0.623 0.623 0.623
```

Largest 6 diffraction maxima, in order of falling intensity, 2θ = 10–90°:
41.64°, intensity 100
35.29°, intensity 75
67.68°, intensity 31
63.34°, intensity 28
21.39°, intensity 27
74.63°, intensity 22

---

No. 6
# RbPuInTe3
Calculated powder diffractogram, Cu Kα. Input: a crystal structure in Alexandria, relaxed with GGA-PBE.
Neutral-atom scattering factors, no anomalous dispersion.

```
RbPuInTe3
1.0
9.391 0.000 0.000
0.000 4.889 0.000
-3.773 0.000 10.415
Rb Pu In Te
2 2 2 6
Direct
0.244 0.250 0.250
0.756 0.750 0.750
0.313 0.750 0.870
0.687 0.250 0.130
0.106 0.250 0.624
0.894 0.750 0.376
0.083 0.250 0.874
0.221 0.750 0.548
0.487 0.750 0.164
0.513 0.250 0.836
0.779 0.250 0.452
0.917 0.750 0.126
```

Largest 6 diffraction maxima, in order of falling intensity, 2θ = 10–90°:
10.70°, intensity 100
26.37°, intensity 78
38.35°, intensity 47
36.76°, intensity 33
30.37°, intensity 32
27.22°, intensity 31

---

No. 7
# Tb8Nd3Dy2
Calculated powder diffractogram, Cu Kα. Input: a crystal structure in Alexandria, relaxed with GGA-PBE.
Neutral-atom scattering factors, no anomalous dispersion.

```
Tb8Nd3Dy2
1.0
6.205 0.000 0.000
1.041 7.947 0.000
1.026 3.903 8.585
Tb Nd Dy
8 3 2
Direct
0.078 0.345 0.190
0.153 0.190 0.886
0.230 0.037 0.578
0.309 0.888 0.267
0.691 0.112 0.733
0.770 0.963 0.422
0.847 0.810 0.114
0.922 0.655 0.810
0.000 0.500 0.500
0.460 0.577 0.656
0.540 0.423 0.344
0.383 0.732 0.961
0.617 0.268 0.039
```

Largest 6 diffraction maxima, in order of falling intensity, 2θ = 10–90°:
30.55°, intensity 100
35.42°, intensity 51
60.58°, intensity 32
50.93°, intensity 18
50.98°, intensity 18
63.58°, intensity 12

---

No. 8
# La2Pr2Sn
Calculated powder diffractogram, Cu Kα. Input: a crystal structure in Alexandria, relaxed with GGA-PBE.
Neutral-atom scattering factors, no anomalous dispersion.

```
La2Pr2Sn
1.0
5.618 0.000 0.000
-2.809 4.866 0.000
0.000 0.000 12.783
La Pr Sn
4 4 2
Direct
0.000 0.000 0.000
0.000 0.000 0.500
0.333 0.667 0.250
0.667 0.333 0.750
0.333 0.667 0.585
0.333 0.667 0.915
0.667 0.333 0.085
0.667 0.333 0.415
0.000 0.000 0.250
0.000 0.000 0.750
```

Largest 6 diffraction maxima, in order of falling intensity, 2θ = 10–90°:
31.86°, intensity 100
27.84°, intensity 88
42.82°, intensity 37
33.55°, intensity 27
54.33°, intensity 25
56.76°, intensity 19

---

No. 9
# VIn2Cl4
Calculated powder diffractogram, Cu Kα. Input: a crystal structure in Alexandria, relaxed with GGA-PBE.
Neutral-atom scattering factors, no anomalous dispersion.

```
VIn2Cl4
1.0
6.776 0.000 0.000
0.000 6.870 0.000
0.000 0.000 17.013
V In Cl
4 8 16
Direct
0.000 0.000 0.000
0.000 0.500 0.500
0.500 0.000 0.500
0.500 0.500 0.000
0.008 0.048 0.351
0.008 0.452 0.851
0.492 0.548 0.351
0.492 0.952 0.851
0.508 0.048 0.149
0.508 0.452 0.649
0.992 0.548 0.149
0.992 0.952 0.649
0.036 0.001 0.855
0.036 0.499 0.355
0.185 0.187 0.510
0.185 0.313 0.010
0.315 0.687 0.510
0.315 0.813 0.010
0.464 0.501 0.855
0.464 0.999 0.355
0.536 0.001 0.645
0.536 0.499 0.145
0.685 0.187 0.990
0.685 0.313 0.490
0.815 0.687 0.990
0.815 0.813 0.490
0.964 0.501 0.645
0.964 0.999 0.145
```

Largest 6 diffraction maxima, in order of falling intensity, 2θ = 10–90°:
24.22°, intensity 100
37.26°, intensity 66
26.30°, intensity 55
31.55°, intensity 47
25.94°, intensity 45
33.82°, intensity 37

---

No. 10
# Tb2Ga2Au3
Calculated powder diffractogram, Cu Kα. Input: a crystal structure in Alexandria, relaxed with GGA-PBE.
Neutral-atom scattering factors, no anomalous dispersion.

```
Tb2Ga2Au3
1.0
2.086 -9.912 0.000
2.086 9.912 0.000
0.000 0.000 7.244
Tb Ga Au
4 4 6
Direct
0.056 0.944 0.750
0.155 0.845 0.250
0.845 0.155 0.750
0.944 0.056 0.250
0.310 0.690 0.053
0.310 0.690 0.447
0.690 0.310 0.553
0.690 0.310 0.947
0.224 0.776 0.750
0.435 0.565 0.555
0.435 0.565 0.945
0.565 0.435 0.055
0.565 0.435 0.445
0.776 0.224 0.250
```

Largest 6 diffraction maxima, in order of falling intensity, 2θ = 10–90°:
33.06°, intensity 100
33.54°, intensity 93
43.38°, intensity 38
46.14°, intensity 31
41.60°, intensity 28
45.52°, intensity 24

---

No. 11
# SrLu2Se4
Calculated powder diffractogram, Cu Kα. Input: a crystal structure in Alexandria, relaxed with GGA-PBE.
Neutral-atom scattering factors, no anomalous dispersion.

```
SrLu2Se4
1.0
12.528 0.000 0.000
0.000 4.085 0.000
0.000 0.000 14.786
Sr Lu Se
4 8 16
Direct
0.240 0.250 0.166
0.260 0.750 0.666
0.740 0.250 0.334
0.760 0.750 0.834
0.060 0.250 0.389
0.083 0.250 0.902
0.417 0.750 0.402
0.440 0.750 0.889
0.560 0.250 0.111
0.583 0.250 0.598
0.917 0.750 0.098
0.940 0.750 0.611
0.028 0.750 0.785
0.090 0.250 0.576
0.127 0.750 0.030
0.204 0.750 0.333
0.296 0.250 0.833
0.373 0.250 0.530
0.410 0.750 0.076
0.472 0.250 0.285
0.528 0.750 0.715
0.590 0.250 0.924
0.627 0.750 0.470
0.704 0.750 0.167
0.796 0.250 0.667
0.873 0.250 0.970
0.910 0.750 0.424
0.972 0.250 0.215
```

Largest 6 diffraction maxima, in order of falling intensity, 2θ = 10–90°:
35.75°, intensity 100
24.48°, intensity 89
25.91°, intensity 84
44.35°, intensity 67
36.14°, intensity 63
43.89°, intensity 61

---

No. 12
# ThBe2Au2
Calculated powder diffractogram, Cu Kα. Input: a crystal structure in Alexandria, relaxed with GGA-PBE.
Neutral-atom scattering factors, no anomalous dispersion.

```
ThBe2Au2
1.0
4.266 0.000 0.000
0.000 4.266 0.000
0.000 0.000 9.571
Th Be Au
2 4 4
Direct
0.250 0.250 0.240
0.750 0.750 0.760
0.250 0.250 0.628
0.250 0.750 0.000
0.750 0.250 0.000
0.750 0.750 0.372
0.250 0.250 0.877
0.250 0.750 0.500
0.750 0.250 0.500
0.750 0.750 0.123
```

Largest 6 diffraction maxima, in order of falling intensity, 2θ = 10–90°:
35.15°, intensity 100
31.09°, intensity 52
42.38°, intensity 38
27.99°, intensity 34
56.18°, intensity 23
51.55°, intensity 20